# ErBPd2Rh
Computed powder XRD pattern, Cu Ka. Input: the GGA-PBE geometry in the Materials Project.
Intensities are scaled so that the largest is 100.

Crystal structure
Cell: 4.3155 4.3155 4.1660 Å, 90.00 90.00 90.00°
Fractional coordinates of all 5 atoms:
Er 0.0000 0.0000 0.0000
B 0.5000 0.5000 0.5000
Pd 0.0000 0.5000 0.5000
Pd 0.5000 0.0000 0.5000
Rh 0.5000 0.5000 0.0000

Principal peaks in the range 10° ≤ 2θ ≤ 90°, low angle first:
| 2θ (°) | I_rel |
| --- | --- |
| 20.58 | 2 |
| 29.81 | 3 |
| 36.50 | 100 |
| 41.87 | 36 |
| 43.44 | 16 |
| 60.70 | 12 |
| 61.92 | 22 |
| 72.95 | 26 |
| 75.17 | 12 |
| 77.56 | 12 |

---

# Er2BPt6
Computed powder XRD pattern, Cu Ka. Input: the GGA-PBE geometry in the Materials Project.
Intensities are scaled so that the largest is 100.

Crystal structure
Cell: 4.3012 4.3012 8.0954 Å, 90.00 90.00 90.00°
Fractional coordinates of all 9 atoms:
Er 0.0000 0.0000 0.2406
Er 0.0000 0.0000 0.7594
B 0.5000 0.5000 0.5000
Pt 0.0000 0.5000 0.0000
Pt 0.0000 0.5000 0.5000
Pt 0.5000 0.0000 0.0000
Pt 0.5000 0.0000 0.5000
Pt 0.5000 0.5000 0.2388
Pt 0.5000 0.5000 0.7612

Principal peaks in the range 10° ≤ 2θ ≤ 90°, low angle first:
| 2θ (°) | I_rel |
| --- | --- |
| 36.97 | 100 |
| 42.01 | 36 |
| 44.78 | 15 |
| 44.91 | 1 |
| 60.92 | 12 |
| 63.08 | 21 |
| 73.44 | 28 |
| 77.38 | 11 |
| 78.71 | 12 |

---

# Er3ReB7
Computed powder XRD pattern, Cu Ka. Input: the GGA-PBE geometry in the Materials Project.
Intensities are scaled so that the largest is 100.

Crystal structure
Cell: 8.0334 8.0334 9.2872 Å, 90.00 90.00 154.74°
Fractional coordinates of all 22 atoms:
Er 0.1055 0.8945 0.5595
Er 0.1055 0.8945 0.9405
Er 0.2423 0.7577 0.2500
Er 0.7577 0.2423 0.7500
Er 0.8945 0.1055 0.0595
Er 0.8945 0.1055 0.4405
Re 0.0528 0.9472 0.2500
Re 0.9472 0.0528 0.7500
B 0.2728 0.7272 0.5335
B 0.2728 0.7272 0.9665
B 0.3678 0.6322 0.6501
B 0.3678 0.6322 0.8499
B 0.4560 0.5440 0.2500
B 0.4798 0.5202 0.5950
B 0.4798 0.5202 0.9050
B 0.5202 0.4798 0.0950
B 0.5202 0.4798 0.4050
B 0.5440 0.4560 0.7500
B 0.6322 0.3678 0.1501
B 0.6322 0.3678 0.3499
B 0.7272 0.2728 0.0335
B 0.7272 0.2728 0.4665

Principal peaks in the range 10° ≤ 2θ ≤ 90°, low angle first:
| 2θ (°) | I_rel |
| --- | --- |
| 25.99 | 100 |
| 29.83 | 71 |
| 31.06 | 64 |
| 34.32 | 31 |
| 39.21 | 77 |
| 39.73 | 58 |
| 42.60 | 24 |
| 43.31 | 25 |
| 52.06 | 25 |
| 61.19 | 32 |